The following is a simulated X-ray powder pattern of GaCoRu. It was derived from the PBE geometry in Alexandria, using Cu Kα.

Structure:
a = 5.051 Å, b = 5.051 Å, c = 5.051 Å
α = 146.56°, β = 146.56°, γ = 48.02°
Fractional positions:
1 Ga 0.000 0.000 0.000
2 Co 0.344 0.344 0.000
3 Ru 0.676 0.676 0.000

The 6 most intense peaks (2θ = 10–90°), sorted by position:
Position (°2θ)	d (Å)	I (rel.)
42.80	2.113	100
44.06	2.055	46
60.16	1.538	9
64.07	1.453	14
77.51	1.231	16
80.15	1.197	29

The following is a simulated X-ray powder pattern of Sc2Ga4Co3. It was derived from the PBE geometry in Alexandria, using Cu Kα.

Structure:
a = 7.508 Å, b = 6.625 Å, c = 5.052 Å
α = 78.77°, β = 59.94°, γ = 41.30°
Fractional positions:
1 Sc 0.119 0.119 0.881
2 Sc 0.881 0.881 0.119
3 Ga 0.173 0.506 0.494
4 Ga 0.494 0.827 0.173
5 Ga 0.506 0.173 0.827
6 Ga 0.827 0.494 0.506
7 Co 0.000 0.000 0.500
8 Co 0.500 0.500 0.000
9 Co 0.500 0.500 0.500

The 6 most intense peaks (2θ = 10–90°), sorted by position:
Position (°2θ)	d (Å)	I (rel.)
35.15	2.553	26
36.32	2.474	23
42.09	2.147	100
43.67	2.073	35
44.46	2.038	26
46.33	1.960	25

The following is a simulated X-ray powder pattern of Sc2Ga9Co3. It was derived from the PBE geometry in Alexandria, using Cu Kα.

Structure:
a = 7.260 Å, b = 7.260 Å, c = 10.131 Å
α = 111.03°, β = 111.03°, γ = 59.95°
Fractional positions:
1 Sc 0.085 0.251 0.251
2 Sc 0.251 0.085 0.751
3 Sc 0.749 0.915 0.249
4 Sc 0.915 0.749 0.749
5 Ga 0.020 0.862 0.075
6 Ga 0.138 0.980 0.425
7 Ga 0.188 0.359 0.575
8 Ga 0.197 0.582 0.251
9 Ga 0.308 0.480 0.936
10 Ga 0.359 0.188 0.075
11 Ga 0.361 0.639 0.750
12 Ga 0.418 0.803 0.249
13 Ga 0.480 0.308 0.436
14 Ga 0.520 0.692 0.564
15 Ga 0.582 0.197 0.751
16 Ga 0.639 0.361 0.250
17 Ga 0.641 0.812 0.925
18 Ga 0.692 0.520 0.064
19 Ga 0.803 0.418 0.749
20 Ga 0.812 0.641 0.425
21 Ga 0.862 0.020 0.575
22 Ga 0.980 0.138 0.925
23 Co 0.000 0.500 0.000
24 Co 0.159 0.670 0.500
25 Co 0.330 0.841 0.000
26 Co 0.500 0.000 0.500
27 Co 0.670 0.159 0.000
28 Co 0.841 0.330 0.500

The 6 most intense peaks (2θ = 10–90°), sorted by position:
Position (°2θ)	d (Å)	I (rel.)
38.39	2.345	100
43.18	2.095	74
46.68	1.946	23
47.68	1.907	31
59.13	1.562	12
75.98	1.253	31